This entry pairs a crystal structure of CsCaCrBr6 with its simulated powder X-ray diffraction pattern. Radiation: Cu Ka. Structure: a crystal structure in Alexandria, relaxed with PBE.
Neutral-atom scattering factors, no anomalous dispersion.

Most intense lines, 5 to 70 degrees two-theta, by angle:
- 10.9 deg, 8.087 Å, rel. 27.5
- 18.0 deg, 4.917 Å, rel. 81.5
- 27.3 deg, 3.270 Å, rel. 100.0
- 33.2 deg, 2.696 Å, rel. 16.9
- 33.5 deg, 2.679 Å, rel. 90.7
- 40.1 deg, 2.249 Å, rel. 32.6
- 43.9 deg, 2.064 Å, rel. 32.6
- 52.0 deg, 1.760 Å, rel. 23.2

Cell and atoms:
```
CsCaCrBr6
1.0
7.1516 0.0000 0.0000
-3.5758 6.1935 0.0000
0.0000 0.0000 8.0870
Cs Ca Cr Br
1 1 1 6
direct
0.0000 0.0000 0.0000
0.6667 0.3333 0.5000
0.3333 0.6667 0.5000
0.0383 0.3876 0.3145
0.0383 0.6506 0.6855
0.3494 0.3876 0.6855
0.3494 0.9617 0.3145
0.6124 0.6506 0.3145
0.6124 0.9617 0.6855
```

---

This entry pairs a crystal structure of Zn7Sb2O12 with its simulated powder X-ray diffraction pattern. Radiation: Cu Ka. Structure: a crystal structure in Alexandria, relaxed with PBE.
Neutral-atom scattering factors, no anomalous dispersion.

Most intense lines, 5 to 70 degrees two-theta, by angle:
- 17.8 deg, 4.996 Å, rel. 78.2
- 29.2 deg, 3.055 Å, rel. 31.0
- 33.5 deg, 2.674 Å, rel. 51.3
- 34.1 deg, 2.632 Å, rel. 100.0
- 34.1 deg, 2.627 Å, rel. 32.7
- 34.2 deg, 2.618 Å, rel. 64.1
- 41.4 deg, 2.179 Å, rel. 42.3
- 59.1 deg, 1.564 Å, rel. 57.7

Cell and atoms:
```
Zn7Sb2O12
1.0
6.2577 0.0000 0.0000
-0.3369 8.7117 0.0000
-2.9103 -4.3206 9.1711
Zn Sb O
14 4 24
direct
0.0000 0.0000 0.0000
0.0532 0.4585 0.1644
0.1513 0.1516 0.8193
0.1697 0.1736 0.3290
0.2809 0.8588 0.5040
0.3193 0.3195 0.6498
0.3768 0.8007 0.8202
0.5000 0.5000 0.5000
0.6232 0.1993 0.1798
0.6807 0.6805 0.3502
0.7191 0.1412 0.4960
0.8303 0.8264 0.6710
0.8487 0.8484 0.1807
0.9468 0.5415 0.8356
0.0000 0.5000 0.5000
0.3344 0.8388 0.1709
0.5000 0.5000 0.0000
0.6656 0.1612 0.8291
0.0013 0.7338 0.5024
0.0299 0.7563 0.0182
0.1287 0.9297 0.8334
0.1563 0.4264 0.3449
0.1805 0.9012 0.3215
0.2063 0.4058 0.8403
0.3067 0.5706 0.6538
0.3409 0.0622 0.1625
0.3413 0.5887 0.1556
0.3558 0.0955 0.6822
0.4649 0.2632 0.4934
0.4887 0.7378 0.0072
0.5113 0.2622 0.9928
0.5351 0.7368 0.5066
0.6442 0.9045 0.3178
0.6587 0.4113 0.8444
0.6591 0.9378 0.8375
0.6933 0.4294 0.3462
0.7937 0.5942 0.1597
0.8195 0.0988 0.6785
0.8437 0.5736 0.6551
0.8713 0.0703 0.1666
0.9701 0.2437 0.9818
0.9987 0.2662 0.4976
```

---

This entry pairs a crystal structure of ScCo3Si2 with its simulated powder X-ray diffraction pattern. Radiation: Cu Ka. Structure: a crystal structure in Alexandria, relaxed with PBE.
Neutral-atom scattering factors, no anomalous dispersion.

Most intense lines, 5 to 70 degrees two-theta, by angle:
- 18.6 deg, 4.762 Å, rel. 32.3
- 34.4 deg, 2.605 Å, rel. 31.9
- 39.0 deg, 2.309 Å, rel. 100.0
- 40.5 deg, 2.228 Å, rel. 35.4
- 44.1 deg, 2.053 Å, rel. 27.3
- 47.9 deg, 1.898 Å, rel. 25.5
- 49.3 deg, 1.848 Å, rel. 49.0
- 49.5 deg, 1.842 Å, rel. 29.8

Cell and atoms:
```
ScCo3Si2
1.0
7.4580 -1.8476 0.0000
7.4580 1.8476 0.0000
-2.7749 0.0000 8.4886
Sc Co Si
3 9 6
direct
0.0000 0.0000 0.0000
0.1610 0.1610 0.7041
0.8390 0.8390 0.2959
0.0433 0.0433 0.3389
0.2131 0.2131 0.3936
0.3202 0.3202 0.0328
0.3802 0.3802 0.8033
0.5000 0.5000 0.5000
0.6198 0.6198 0.1967
0.6798 0.6798 0.9672
0.7869 0.7869 0.6064
0.9567 0.9567 0.6611
0.1956 0.1956 0.1302
0.3609 0.3609 0.5460
0.4635 0.4635 0.2202
0.5365 0.5365 0.7798
0.6391 0.6391 0.4540
0.8044 0.8044 0.8698
```

---

This entry pairs a crystal structure of Dy6InNi with its simulated powder X-ray diffraction pattern. Radiation: Cu Ka. Structure: a crystal structure in Alexandria, relaxed with PBE.
Neutral-atom scattering factors, no anomalous dispersion.

Most intense lines, 5 to 70 degrees two-theta, by angle:
- 24.8 deg, 3.595 Å, rel. 13.3
- 29.7 deg, 3.007 Å, rel. 100.0
- 29.8 deg, 2.999 Å, rel. 15.4
- 29.9 deg, 2.986 Å, rel. 19.6
- 31.3 deg, 2.856 Å, rel. 12.5
- 39.8 deg, 2.267 Å, rel. 28.9
- 45.1 deg, 2.009 Å, rel. 26.0
- 53.0 deg, 1.729 Å, rel. 14.9

Cell and atoms:
```
Dy6InNi
1.0
6.9505 0.0000 0.0000
-3.4724 6.0327 0.0000
-3.4568 -2.0061 5.9714
Dy In Ni
6 1 1
direct
0.0502 0.0797 0.2594
0.2886 0.7089 0.2592
0.3188 0.5286 0.7409
0.6812 0.4714 0.2591
0.7114 0.2911 0.7408
0.9498 0.9203 0.7406
0.5000 0.0000 0.0000
0.5000 0.5000 0.5000
```

---

This entry pairs a crystal structure of CrCu2Pd4 with its simulated powder X-ray diffraction pattern. Radiation: Cu Ka. Structure: a crystal structure in Alexandria, relaxed with PBE.
Neutral-atom scattering factors, no anomalous dispersion.

Most intense lines, 5 to 70 degrees two-theta, by angle:
- 29.1 deg, 3.070 Å, rel. 31.2
- 37.8 deg, 2.383 Å, rel. 100.0
- 38.0 deg, 2.371 Å, rel. 47.9
- 45.1 deg, 2.012 Å, rel. 82.4
- 45.2 deg, 2.007 Å, rel. 43.5
- 60.2 deg, 1.537 Å, rel. 23.2
- 60.4 deg, 1.533 Å, rel. 12.3
- 62.9 deg, 1.478 Å, rel. 11.3

Cell and atoms:
```
CrCu2Pd4
1.0
-3.7686 3.7686 3.7465
3.7686 -3.7686 3.7465
3.7686 3.7686 -3.7465
Cr Cu Pd
2 4 8
direct
0.0000 0.0000 0.0000
0.7500 0.2500 0.5000
0.2464 0.1250 0.6214
0.3750 0.7536 0.8786
0.5036 0.6250 0.3786
0.8750 0.4964 0.1214
0.1265 0.3773 0.4122
0.1273 0.3765 0.9122
0.2857 0.8735 0.2508
0.4643 0.2151 0.0878
0.6227 0.0349 0.7492
0.6235 0.5357 0.7508
0.7849 0.8727 0.2492
0.9651 0.7143 0.5878
```

---

This entry pairs a crystal structure of Pr2Cu2O5 with its simulated powder X-ray diffraction pattern. Radiation: Cu Ka. Structure: a crystal structure in Alexandria, relaxed with PBE.
Neutral-atom scattering factors, no anomalous dispersion.

Most intense lines, 5 to 70 degrees two-theta, by angle:
- 29.5 deg, 3.032 Å, rel. 22.9
- 32.6 deg, 2.750 Å, rel. 33.9
- 33.2 deg, 2.698 Å, rel. 100.0
- 35.0 deg, 2.562 Å, rel. 26.1
- 38.5 deg, 2.337 Å, rel. 22.0
- 38.7 deg, 2.325 Å, rel. 27.5
- 40.4 deg, 2.232 Å, rel. 23.2
- 47.6 deg, 1.909 Å, rel. 32.1

Cell and atoms:
```
Pr2Cu2O5
1.0
5.7084 0.0000 0.0000
0.0000 10.2462 0.0000
0.0000 0.0000 3.8197
Pr Cu O
4 4 10
direct
0.1541 0.1480 0.0000
0.3459 0.6480 0.0000
0.6541 0.3520 0.0000
0.8459 0.8520 0.0000
0.1899 0.4044 0.5000
0.3101 0.9044 0.5000
0.6899 0.0956 0.5000
0.8101 0.5956 0.5000
0.0000 0.0000 0.5000
0.0848 0.7087 0.5000
0.2238 0.3990 0.0000
0.2762 0.8990 0.0000
0.4152 0.2087 0.5000
0.5000 0.5000 0.5000
0.5848 0.7913 0.5000
0.7238 0.1010 0.0000
0.7762 0.6010 0.0000
0.9152 0.2913 0.5000
```